1.
GdU3: theoretical powder diffraction line list (Cu Kα X-rays), based on a DFT-relaxed cell (GGA-PBE, the Materials Project).
No peak broadening, texture or thermal motion is included.

Largest 12 diffraction maxima, sorted by position, 10° ≤ 2θ ≤ 90°:
| two_theta | d (Å) | Rel. int. |
| --- | --- | --- |
| 18.43 | 4.814 | 1 |
| 22.33 | 3.981 | 2 |
| 34.48 | 2.601 | 100 |
| 37.36 | 2.407 | 20 |
| 41.30 | 2.186 | 31 |
| 56.90 | 1.618 | 25 |
| 59.84 | 1.546 | 11 |
| 65.54 | 1.424 | 16 |
| 70.93 | 1.329 | 26 |
| 72.71 | 1.301 | 12 |
| 79.67 | 1.204 | 3 |
| 89.72 | 1.093 | 4 |

Atomic structure:
Cell: 5.721 5.721 5.721 Å, 135.08 135.08 65.41°
Fractional coordinates of all 4 atoms:
Gd  0.000  0.000  0.000
U  0.250  0.750  0.500
U  0.500  0.500  0.000
U  0.750  0.250  0.500

2.
GdY3: theoretical powder diffraction line list (Cu Kα X-rays), based on a DFT-relaxed cell (GGA-PBE, the Materials Project).
No peak broadening, texture or thermal motion is included.

Largest 12 diffraction maxima, sorted by position, 10° ≤ 2θ ≤ 90°:
| two_theta | d (Å) | Rel. int. |
| --- | --- | --- |
| 19.55 | 4.541 | 6 |
| 30.48 | 2.933 | 100 |
| 35.22 | 2.548 | 17 |
| 35.40 | 2.536 | 33 |
| 50.80 | 1.797 | 23 |
| 50.92 | 1.793 | 12 |
| 60.29 | 1.535 | 14 |
| 60.52 | 1.530 | 27 |
| 63.43 | 1.466 | 12 |
| 82.76 | 1.166 | 11 |
| 82.96 | 1.164 | 6 |
| 85.25 | 1.138 | 5 |

Atomic structure:
Cell: 6.231 6.231 6.231 Å, 131.97 131.97 70.27°
Fractional coordinates of all 4 atoms:
Gd  0.000  0.000  0.000
Y  0.250  0.750  0.500
Y  0.500  0.500  0.000
Y  0.750  0.250  0.500

3.
GdY3: theoretical powder diffraction line list (Cu Kα X-rays), based on a DFT-relaxed cell (GGA-PBE, the Materials Project).
No peak broadening, texture or thermal motion is included.

Largest 12 diffraction maxima, sorted by position, 10° ≤ 2θ ≤ 90°:
| two_theta | d (Å) | Rel. int. |
| --- | --- | --- |
| 17.40 | 5.096 | 6 |
| 24.70 | 3.604 | 5 |
| 30.38 | 2.942 | 100 |
| 35.22 | 2.548 | 50 |
| 39.54 | 2.279 | 3 |
| 43.50 | 2.081 | 3 |
| 50.66 | 1.802 | 35 |
| 60.22 | 1.537 | 41 |
| 63.20 | 1.471 | 12 |
| 74.47 | 1.274 | 5 |
| 82.50 | 1.169 | 17 |
| 85.14 | 1.140 | 15 |

Atomic structure:
Cell: 5.096 5.096 5.096 Å, 90.00 90.00 90.00°
Fractional coordinates of all 4 atoms:
Gd  0.000  0.000  0.000
Y  0.000  0.500  0.500
Y  0.500  0.000  0.500
Y  0.500  0.500  0.000

4.
GdZn2: theoretical powder diffraction line list (Cu Kα X-rays), based on a DFT-relaxed cell (GGA-PBE, the Materials Project).
No peak broadening, texture or thermal motion is included.

Largest 12 diffraction maxima, sorted by position, 10° ≤ 2θ ≤ 90°:
| two_theta | d (Å) | Rel. int. |
| --- | --- | --- |
| 22.77 | 3.906 | 19 |
| 33.12 | 2.705 | 19 |
| 33.88 | 2.646 | 100 |
| 34.31 | 2.614 | 44 |
| 39.39 | 2.287 | 10 |
| 39.61 | 2.276 | 32 |
| 40.73 | 2.216 | 50 |
| 53.38 | 1.716 | 25 |
| 54.57 | 1.682 | 9 |
| 65.95 | 1.416 | 12 |
| 67.02 | 1.396 | 11 |
| 68.21 | 1.375 | 13 |

Atomic structure:
Cell: 5.709 5.709 5.709 Å, 133.02 101.88 96.42°
Fractional coordinates of all 6 atoms:
Gd  0.280  0.030  0.250
Gd  0.720  0.970  0.750
Zn  0.122  0.666  0.456
Zn  0.290  0.334  0.956
Zn  0.710  0.666  0.044
Zn  0.878  0.334  0.544

5.
GeH4: theoretical powder diffraction line list (Cu Kα X-rays), based on a DFT-relaxed cell (GGA-PBE, the Materials Project).
No peak broadening, texture or thermal motion is included.

Largest 12 diffraction maxima, sorted by position, 10° ≤ 2θ ≤ 90°:
| two_theta | d (Å) | Rel. int. |
| --- | --- | --- |
| 17.39 | 5.098 | 92 |
| 31.95 | 2.801 | 100 |
| 35.21 | 2.549 | 20 |
| 40.80 | 2.212 | 52 |
| 42.55 | 2.125 | 11 |
| 45.34 | 2.000 | 11 |
| 46.29 | 1.961 | 18 |
| 48.91 | 1.862 | 14 |
| 54.96 | 1.671 | 20 |
| 56.37 | 1.632 | 9 |
| 66.80 | 1.400 | 12 |
| 71.23 | 1.324 | 10 |

Atomic structure:
Cell: 5.477 5.477 4.249 Å, 90.00 90.00 137.16°
Fractional coordinates of all 10 atoms:
Ge  0.242  0.758  0.750
Ge  0.758  0.242  0.250
H  0.017  0.983  0.750
H  0.059  0.941  0.250
H  0.463  0.537  0.009
H  0.463  0.537  0.491
H  0.537  0.463  0.509
H  0.537  0.463  0.991
H  0.941  0.059  0.750
H  0.983  0.017  0.250

6.
GeH4: theoretical powder diffraction line list (Cu Kα X-rays), based on a DFT-relaxed cell (GGA-PBE, the Materials Project).
No peak broadening, texture or thermal motion is included.

Largest 12 diffraction maxima, sorted by position, 10° ≤ 2θ ≤ 90°:
| two_theta | d (Å) | Rel. int. |
| --- | --- | --- |
| 19.25 | 4.611 | 100 |
| 19.40 | 4.575 | 100 |
| 21.27 | 4.178 | 91 |
| 21.92 | 4.054 | 21 |
| 26.92 | 3.311 | 49 |
| 27.47 | 3.247 | 63 |
| 28.84 | 3.096 | 64 |
| 30.84 | 2.899 | 26 |
| 33.31 | 2.690 | 42 |
| 36.61 | 2.454 | 25 |
| 40.56 | 2.224 | 19 |
| 44.17 | 2.051 | 21 |

Atomic structure:
Cell: 9.057 4.611 9.231 Å, 90.00 112.71 90.00°
Fractional coordinates of all 20 atoms:
Ge  0.238  0.071  0.150
Ge  0.238  0.929  0.650
Ge  0.762  0.071  0.350
Ge  0.762  0.929  0.850
H  0.099  0.086  0.672
H  0.099  0.914  0.172
H  0.189  0.385  0.098
H  0.189  0.615  0.598
H  0.284  0.083  0.526
H  0.284  0.917  0.026
H  0.382  0.081  0.307
H  0.382  0.919  0.807
H  0.618  0.081  0.193
H  0.618  0.919  0.693
H  0.716  0.083  0.974
H  0.716  0.917  0.474
H  0.811  0.385  0.402
H  0.811  0.615  0.902
H  0.901  0.086  0.828
H  0.901  0.914  0.328

7.
Ge3H: theoretical powder diffraction line list (Cu Kα X-rays), based on a DFT-relaxed cell (GGA-PBE, the Materials Project).
No peak broadening, texture or thermal motion is included.

Largest 11 diffraction maxima, sorted by position, 10° ≤ 2θ ≤ 90°:
| two_theta | d (Å) | Rel. int. |
| --- | --- | --- |
| 24.43 | 3.643 | 27 |
| 28.29 | 3.155 | 14 |
| 40.43 | 2.231 | 100 |
| 47.81 | 1.903 | 13 |
| 50.07 | 1.822 | 4 |
| 58.51 | 1.578 | 16 |
| 64.35 | 1.448 | 5 |
| 66.23 | 1.411 | 5 |
| 73.53 | 1.288 | 33 |
| 78.81 | 1.214 | 4 |
| 87.43 | 1.116 | 11 |

Atomic structure:
Cell: 4.462 4.462 4.462 Å, 60.00 60.00 60.00°
Fractional coordinates of all 4 atoms:
Ge  0.000  0.000  0.000
Ge  0.250  0.250  0.250
Ge  0.750  0.750  0.750
H  0.500  0.500  0.500

8.
GeH4: theoretical powder diffraction line list (Cu Kα X-rays), based on a DFT-relaxed cell (GGA-PBE, the Materials Project).
No peak broadening, texture or thermal motion is included.

Largest 12 diffraction maxima, sorted by position, 10° ≤ 2θ ≤ 90°:
| two_theta | d (Å) | Rel. int. |
| --- | --- | --- |
| 17.03 | 5.206 | 100 |
| 24.88 | 3.579 | 88 |
| 30.30 | 2.949 | 90 |
| 34.50 | 2.599 | 37 |
| 36.36 | 2.471 | 14 |
| 38.77 | 2.323 | 22 |
| 40.41 | 2.232 | 20 |
| 42.96 | 2.105 | 39 |
| 51.00 | 1.791 | 23 |
| 54.20 | 1.692 | 19 |
| 59.17 | 1.561 | 14 |
| 59.30 | 1.558 | 13 |

Atomic structure:
Cell: 3.584 3.584 5.206 Å, 90.00 90.00 92.82°
Fractional coordinates of all 5 atoms:
Ge  0.000  0.000  0.000
H  0.000  0.500  0.000
H  0.077  0.077  0.500
H  0.500  0.000  0.000
H  0.923  0.923  0.500

9.
GeH4: theoretical powder diffraction line list (Cu Kα X-rays), based on a DFT-relaxed cell (GGA-PBE, the Materials Project).
No peak broadening, texture or thermal motion is included.

Largest 12 diffraction maxima, sorted by position, 10° ≤ 2θ ≤ 90°:
| two_theta | d (Å) | Rel. int. |
| --- | --- | --- |
| 17.78 | 4.987 | 100 |
| 30.66 | 2.916 | 63 |
| 35.67 | 2.517 | 84 |
| 36.02 | 2.494 | 23 |
| 42.45 | 2.129 | 12 |
| 45.34 | 2.000 | 12 |
| 46.37 | 1.958 | 19 |
| 48.01 | 1.895 | 35 |
| 49.07 | 1.856 | 15 |
| 56.86 | 1.619 | 10 |
| 64.53 | 1.444 | 14 |
| 66.86 | 1.399 | 12 |

Atomic structure:
Cell: 4.000 4.987 4.259 Å, 90.00 90.00 90.00°
Fractional coordinates of all 10 atoms:
Ge  0.250  0.000  0.230
Ge  0.750  0.000  0.770
H  0.250  0.418  0.373
H  0.250  0.427  0.869
H  0.250  0.573  0.869
H  0.250  0.582  0.373
H  0.750  0.418  0.627
H  0.750  0.427  0.131
H  0.750  0.573  0.131
H  0.750  0.582  0.627

10.
GeH4: theoretical powder diffraction line list (Cu Kα X-rays), based on a DFT-relaxed cell (GGA-PBE, the Materials Project).
No peak broadening, texture or thermal motion is included.

Largest 12 diffraction maxima, sorted by position, 10° ≤ 2θ ≤ 90°:
| two_theta | d (Å) | Rel. int. |
| --- | --- | --- |
| 20.97 | 4.236 | 30 |
| 21.51 | 4.131 | 83 |
| 22.48 | 3.954 | 58 |
| 23.27 | 3.823 | 100 |
| 23.83 | 3.734 | 28 |
| 27.50 | 3.243 | 45 |
| 30.94 | 2.891 | 24 |
| 35.81 | 2.508 | 40 |
| 38.89 | 2.316 | 16 |
| 39.95 | 2.257 | 21 |
| 40.29 | 2.238 | 33 |
| 47.08 | 1.930 | 16 |

Atomic structure:
Cell: 4.844 7.909 8.733 Å, 90.00 90.00 90.00°
Fractional coordinates of all 20 atoms:
Ge  0.149  0.008  0.356
Ge  0.351  0.992  0.856
Ge  0.649  0.492  0.644
Ge  0.851  0.508  0.144
H  0.023  0.538  0.289
H  0.042  0.451  0.014
H  0.130  0.125  0.823
H  0.208  0.827  0.903
H  0.292  0.173  0.403
H  0.370  0.875  0.323
H  0.458  0.549  0.514
H  0.477  0.462  0.789
H  0.523  0.962  0.711
H  0.542  0.049  0.986
H  0.630  0.375  0.177
H  0.708  0.673  0.097
H  0.792  0.327  0.597
H  0.870  0.625  0.677
H  0.958  0.951  0.486
H  0.977  0.038  0.211

11.
GeH4: theoretical powder diffraction line list (Cu Kα X-rays), based on a DFT-relaxed cell (GGA-PBE, the Materials Project).
No peak broadening, texture or thermal motion is included.

Largest 12 diffraction maxima, sorted by position, 10° ≤ 2θ ≤ 90°:
| two_theta | d (Å) | Rel. int. |
| --- | --- | --- |
| 17.94 | 4.945 | 100 |
| 25.48 | 3.495 | 30 |
| 26.66 | 3.344 | 28 |
| 27.40 | 3.255 | 34 |
| 30.16 | 2.963 | 52 |
| 38.08 | 2.363 | 21 |
| 40.41 | 2.232 | 23 |
| 41.61 | 2.170 | 12 |
| 41.98 | 2.152 | 22 |
| 42.42 | 2.131 | 12 |
| 43.16 | 2.096 | 22 |
| 62.71 | 1.481 | 13 |

Atomic structure:
Cell: 5.009 5.009 4.735 Å, 92.17 92.17 98.77°
Fractional coordinates of all 10 atoms:
Ge  0.114  0.886  0.750
Ge  0.886  0.114  0.250
H  0.097  0.189  0.904
H  0.189  0.097  0.404
H  0.369  0.554  0.306
H  0.446  0.631  0.194
H  0.554  0.369  0.806
H  0.631  0.446  0.694
H  0.811  0.903  0.596
H  0.903  0.811  0.096

12.
K4GeH4N2O3: theoretical powder diffraction line list (Cu Kα X-rays), based on a DFT-relaxed cell (GGA-PBE, the Materials Project).
No peak broadening, texture or thermal motion is included.

Largest 12 diffraction maxima, sorted by position, 10° ≤ 2θ ≤ 90°:
| two_theta | d (Å) | Rel. int. |
| --- | --- | --- |
| 14.83 | 5.973 | 27 |
| 15.90 | 5.573 | 56 |
| 16.62 | 5.334 | 39 |
| 28.31 | 3.152 | 54 |
| 28.58 | 3.123 | 23 |
| 28.70 | 3.111 | 32 |
| 28.81 | 3.099 | 72 |
| 29.92 | 2.986 | 56 |
| 31.34 | 2.855 | 38 |
| 31.78 | 2.816 | 52 |
| 35.56 | 2.525 | 100 |
| 50.87 | 1.795 | 23 |

Atomic structure:
Cell: 11.113 6.536 12.443 Å, 90.00 106.28 90.00°
Fractional coordinates of all 56 atoms:
K  0.012  0.122  0.353
K  0.012  0.378  0.853
K  0.133  0.106  0.114
K  0.133  0.394  0.614
K  0.306  0.621  0.178
K  0.306  0.879  0.678
K  0.348  0.179  0.402
K  0.348  0.321  0.902
K  0.652  0.679  0.098
K  0.652  0.821  0.598
K  0.694  0.121  0.322
K  0.694  0.379  0.822
K  0.867  0.606  0.386
K  0.867  0.894  0.886
K  0.988  0.622  0.147
K  0.988  0.878  0.647
Ge  0.197  0.695  0.401
Ge  0.197  0.805  0.901
Ge  0.803  0.195  0.099
Ge  0.803  0.305  0.599
H  0.388  0.573  0.542
H  0.388  0.927  0.042
H  0.427  0.081  0.192
H  0.427  0.419  0.692
H  0.429  0.681  0.440
H  0.429  0.819  0.940
H  0.474  0.194  0.671
H  0.474  0.306  0.171
H  0.526  0.694  0.829
H  0.526  0.806  0.329
H  0.571  0.181  0.060
H  0.571  0.319  0.560
H  0.573  0.581  0.308
H  0.573  0.919  0.808
H  0.612  0.073  0.958
H  0.612  0.427  0.458
N  0.372  0.701  0.492
N  0.372  0.799  0.992
N  0.393  0.225  0.166
N  0.393  0.275  0.666
N  0.607  0.725  0.334
N  0.607  0.775  0.834
N  0.628  0.201  0.008
N  0.628  0.299  0.508
O  0.109  0.732  0.994
O  0.109  0.768  0.494
O  0.157  0.052  0.843
O  0.157  0.448  0.343
O  0.192  0.622  0.795
O  0.192  0.878  0.295
O  0.808  0.122  0.705
O  0.808  0.378  0.205
O  0.843  0.552  0.657
O  0.843  0.948  0.157
O  0.891  0.232  0.506
O  0.891  0.268  0.006